Entry 1:
This entry pairs a crystal structure of Hf4GaOs with its theoretical PXRD pattern. Radiation: Cu Kα. Structure: the PBE geometry in Alexandria.
Neutral-atom scattering factors, no anomalous dispersion.

Structure:
```
Hf4GaOs
1.0
5.470 0.000 0.000
0.000 3.246 0.000
-0.008 0.000 6.772
Hf Ga Os
4 1 1
direct
0.167 0.000 0.314 Hf
0.324 0.500 0.686 Hf
0.676 0.500 0.314 Hf
0.833 0.000 0.686 Hf
0.500 0.000 0.000 Ga
0.000 0.500 0.000 Os
```

The 6 most intense peaks (10° ≤ 2θ ≤ 80°), by angle:
- 2θ = 34.77°, intensity 100
- 2θ = 35.38°, intensity 46
- 2θ = 39.94°, intensity 30
- 2θ = 41.93°, intensity 55
- 2θ = 42.51°, intensity 28
- 2θ = 58.02°, intensity 22

***

Entry 2:
This entry pairs a crystal structure of Hf6GaP with its theoretical PXRD pattern. Radiation: Cu Kα. Structure: the PBE geometry in Alexandria.
Neutral-atom scattering factors, no anomalous dispersion.

Structure:
```
Hf6GaP
1.0
6.317 0.000 0.000
0.000 9.778 0.000
-1.992 0.000 5.702
Hf Ga P
12 2 2
direct
0.178 0.192 0.258 Hf
0.178 0.808 0.258 Hf
0.233 0.500 0.211 Hf
0.267 0.000 0.789 Hf
0.322 0.308 0.742 Hf
0.322 0.692 0.742 Hf
0.678 0.308 0.258 Hf
0.678 0.692 0.258 Hf
0.733 0.000 0.211 Hf
0.767 0.500 0.789 Hf
0.822 0.192 0.742 Hf
0.822 0.808 0.742 Hf
0.000 0.500 0.500 Ga
0.500 0.000 0.500 Ga
0.000 0.000 0.000 P
0.500 0.500 0.000 P
```

The 6 most intense peaks (10° ≤ 2θ ≤ 80°), by angle:
- 2θ = 29.97°, intensity 40
- 2θ = 31.31°, intensity 34
- 2θ = 31.38°, intensity 64
- 2θ = 32.74°, intensity 88
- 2θ = 35.68°, intensity 38
- 2θ = 37.34°, intensity 100

***

Entry 3:
This entry pairs a crystal structure of HfPa4Ga12 with its theoretical PXRD pattern. Radiation: Cu Kα. Structure: the PBE geometry in Alexandria.
Neutral-atom scattering factors, no anomalous dispersion.

Structure:
```
HfPa4Ga12
1.0
-4.365 4.365 4.365
4.365 -4.365 4.365
4.365 4.365 -4.365
Hf Pa Ga
1 4 12
direct
0.000 0.000 0.000 Hf
0.000 0.000 0.500 Pa
0.000 0.500 0.000 Pa
0.500 0.000 0.000 Pa
0.500 0.500 0.500 Pa
0.000 0.306 0.306 Ga
0.000 0.694 0.694 Ga
0.250 0.500 0.750 Ga
0.250 0.750 0.500 Ga
0.306 0.000 0.306 Ga
0.306 0.306 0.000 Ga
0.500 0.250 0.750 Ga
0.500 0.750 0.250 Ga
0.694 0.000 0.694 Ga
0.694 0.694 0.000 Ga
0.750 0.250 0.500 Ga
0.750 0.500 0.250 Ga
```

The 6 most intense peaks (10° ≤ 2θ ≤ 80°), by angle:
- 2θ = 28.93°, intensity 82
- 2θ = 35.63°, intensity 100
- 2θ = 41.37°, intensity 74
- 2θ = 51.27°, intensity 26
- 2θ = 59.94°, intensity 43
- 2θ = 71.72°, intensity 30

***

Entry 4:
This entry pairs a crystal structure of Hf10GaPb6 with its theoretical PXRD pattern. Radiation: Cu Kα. Structure: the PBE geometry in Alexandria.
Neutral-atom scattering factors, no anomalous dispersion.

Structure:
```
Hf10GaPb6
1.0
8.659 0.000 0.000
-4.330 7.499 0.000
0.000 0.000 5.894
Hf Ga Pb
10 1 6
direct
0.000 0.254 0.262 Hf
0.000 0.746 0.738 Hf
0.254 0.000 0.262 Hf
0.254 0.254 0.738 Hf
0.333 0.667 0.000 Hf
0.333 0.667 0.500 Hf
0.667 0.333 0.000 Hf
0.667 0.333 0.500 Hf
0.746 0.000 0.738 Hf
0.746 0.746 0.262 Hf
0.000 0.000 0.000 Ga
0.000 0.390 0.755 Pb
0.000 0.610 0.245 Pb
0.390 0.000 0.755 Pb
0.390 0.390 0.245 Pb
0.610 0.000 0.245 Pb
0.610 0.610 0.755 Pb
```

The 6 most intense peaks (10° ≤ 2θ ≤ 80°), by angle:
- 2θ = 35.13°, intensity 100
- 2θ = 35.93°, intensity 66
- 2θ = 36.90°, intensity 90
- 2θ = 46.29°, intensity 22
- 2θ = 52.45°, intensity 21
- 2θ = 57.04°, intensity 24

***

Entry 5:
This entry pairs a crystal structure of Hf4Ga2Pb with its theoretical PXRD pattern. Radiation: Cu Kα. Structure: the PBE geometry in Alexandria.
Neutral-atom scattering factors, no anomalous dispersion.

Structure:
```
Hf4Ga2Pb
1.0
5.329 0.000 0.000
0.000 5.329 0.000
0.000 0.000 13.225
Hf Ga Pb
8 4 2
direct
0.000 0.000 0.215 Hf
0.000 0.000 0.785 Hf
0.000 0.500 0.000 Hf
0.000 0.500 0.500 Hf
0.500 0.000 0.000 Hf
0.500 0.000 0.500 Hf
0.500 0.500 0.285 Hf
0.500 0.500 0.715 Hf
0.000 0.000 0.409 Ga
0.000 0.000 0.591 Ga
0.500 0.500 0.091 Ga
0.500 0.500 0.909 Ga
0.000 0.000 0.000 Pb
0.500 0.500 0.500 Pb
```

The 6 most intense peaks (10° ≤ 2θ ≤ 80°), by angle:
- 2θ = 26.97°, intensity 37
- 2θ = 27.24°, intensity 50
- 2θ = 33.63°, intensity 100
- 2θ = 37.98°, intensity 56
- 2θ = 43.63°, intensity 42
- 2θ = 51.62°, intensity 47

***

Entry 6:
This entry pairs a crystal structure of Hf4GaPd with its theoretical PXRD pattern. Radiation: Cu Kα. Structure: the PBE geometry in Alexandria.
Neutral-atom scattering factors, no anomalous dispersion.

Structure:
```
Hf4GaPd
1.0
6.660 0.000 0.000
0.000 6.660 0.000
0.000 0.000 5.363
Hf Ga Pd
8 2 2
direct
0.157 0.343 0.000 Hf
0.157 0.657 0.500 Hf
0.343 0.157 0.500 Hf
0.343 0.843 0.000 Hf
0.657 0.157 0.000 Hf
0.657 0.843 0.500 Hf
0.843 0.343 0.500 Hf
0.843 0.657 0.000 Hf
0.000 0.000 0.250 Ga
0.000 0.000 0.750 Ga
0.500 0.500 0.250 Pd
0.500 0.500 0.750 Pd
```

The 6 most intense peaks (10° ≤ 2θ ≤ 80°), by angle:
- 2θ = 34.44°, intensity 100
- 2θ = 38.64°, intensity 20
- 2θ = 42.94°, intensity 30
- 2θ = 43.32°, intensity 19
- 2θ = 60.39°, intensity 20
- 2θ = 69.36°, intensity 17

***

Entry 7:
This entry pairs a crystal structure of HfGaPd4 with its theoretical PXRD pattern. Radiation: Cu Kα. Structure: the PBE geometry in Alexandria.
Neutral-atom scattering factors, no anomalous dispersion.

Structure:
```
HfGaPd4
1.0
4.770 0.000 0.000
0.000 8.563 0.000
0.000 0.000 4.770
Hf Ga Pd
2 2 8
direct
0.000 0.000 0.000 Hf
0.500 0.000 0.500 Hf
0.000 0.500 0.500 Ga
0.500 0.500 0.000 Ga
0.000 0.166 0.499 Pd
0.000 0.342 0.999 Pd
0.000 0.658 0.001 Pd
0.000 0.834 0.501 Pd
0.500 0.166 0.001 Pd
0.500 0.342 0.501 Pd
0.500 0.658 0.499 Pd
0.500 0.834 0.999 Pd
```

The 6 most intense peaks (10° ≤ 2θ ≤ 80°), by angle:
- 2θ = 10.33°, intensity 13
- 2θ = 37.72°, intensity 66
- 2θ = 41.44°, intensity 100
- 2θ = 54.41°, intensity 23
- 2θ = 70.63°, intensity 40
- 2θ = 78.03°, intensity 15

***

Entry 8:
This entry pairs a crystal structure of HfGa2Pd7 with its theoretical PXRD pattern. Radiation: Cu Kα. Structure: the PBE geometry in Alexandria.
Neutral-atom scattering factors, no anomalous dispersion.

Structure:
```
HfGa2Pd7
1.0
-2.035 2.035 9.975
2.035 -2.035 9.975
2.035 2.035 -9.975
Hf Ga Pd
1 2 7
direct
0.000 0.000 0.000 Hf
0.325 0.325 0.000 Ga
0.675 0.675 0.000 Ga
0.098 0.598 0.500 Pd
0.250 0.750 0.500 Pd
0.402 0.902 0.500 Pd
0.500 0.500 0.000 Pd
0.598 0.098 0.500 Pd
0.750 0.250 0.500 Pd
0.902 0.402 0.500 Pd
```

The 6 most intense peaks (10° ≤ 2θ ≤ 80°), by angle:
- 2θ = 25.66°, intensity 16
- 2θ = 36.03°, intensity 27
- 2θ = 41.50°, intensity 100
- 2θ = 44.52°, intensity 47
- 2θ = 64.79°, intensity 15
- 2θ = 79.93°, intensity 29

***

Entry 9:
This entry pairs a crystal structure of Hf3Ga3Pd with its theoretical PXRD pattern. Radiation: Cu Kα. Structure: the PBE geometry in Alexandria.
Neutral-atom scattering factors, no anomalous dispersion.

Structure:
```
Hf3Ga3Pd
1.0
3.605 -4.581 0.000
3.605 4.581 0.000
-0.677 0.000 7.875
Hf Ga Pd
6 6 2
direct
0.187 0.813 0.000 Hf
0.243 0.757 0.500 Hf
0.381 0.381 0.164 Hf
0.619 0.619 0.836 Hf
0.757 0.243 0.500 Hf
0.813 0.187 0.000 Hf
0.024 0.024 0.277 Ga
0.104 0.446 0.774 Ga
0.446 0.104 0.774 Ga
0.554 0.896 0.226 Ga
0.896 0.554 0.226 Ga
0.976 0.976 0.723 Ga
0.293 0.293 0.512 Pd
0.707 0.707 0.488 Pd
```

The 6 most intense peaks (10° ≤ 2θ ≤ 80°), by angle:
- 2θ = 29.92°, intensity 26
- 2θ = 34.22°, intensity 62
- 2θ = 35.23°, intensity 27
- 2θ = 37.91°, intensity 100
- 2θ = 38.87°, intensity 24
- 2θ = 40.04°, intensity 27

***

Entry 10:
This entry pairs a crystal structure of Hf8Ga2Pd3 with its theoretical PXRD pattern. Radiation: Cu Kα. Structure: the PBE geometry in Alexandria.
Neutral-atom scattering factors, no anomalous dispersion.

Structure:
```
Hf8Ga2Pd3
1.0
3.922 -6.952 0.000
3.922 6.952 0.000
0.000 0.000 4.888
Hf Ga Pd
8 2 3
direct
0.104 0.896 0.000 Hf
0.178 0.413 0.500 Hf
0.317 0.683 0.000 Hf
0.413 0.178 0.500 Hf
0.587 0.822 0.500 Hf
0.683 0.317 0.000 Hf
0.822 0.587 0.500 Hf
0.896 0.104 0.000 Hf
0.219 0.781 0.500 Ga
0.781 0.219 0.500 Ga
0.000 0.000 0.500 Pd
0.319 0.319 0.000 Pd
0.681 0.681 0.000 Pd
```

The 6 most intense peaks (10° ≤ 2θ ≤ 80°), by angle:
- 2θ = 29.19°, intensity 54
- 2θ = 34.92°, intensity 33
- 2θ = 36.77°, intensity 65
- 2θ = 38.99°, intensity 82
- 2θ = 39.23°, intensity 100
- 2θ = 71.73°, intensity 29

***

Entry 11:
This entry pairs a crystal structure of Hf3Ga6Pd with its theoretical PXRD pattern. Radiation: Cu Kα. Structure: the PBE geometry in Alexandria.
Neutral-atom scattering factors, no anomalous dispersion.

Structure:
```
Hf3Ga6Pd
1.0
5.323 3.073 3.602
-5.323 3.073 3.602
0.000 -6.147 3.602
Hf Ga Pd
6 12 2
direct
0.183 0.750 0.317 Hf
0.250 0.683 0.817 Hf
0.317 0.183 0.750 Hf
0.683 0.817 0.250 Hf
0.750 0.317 0.183 Hf
0.817 0.250 0.683 Hf
0.013 0.087 0.359 Ga
0.087 0.359 0.013 Ga
0.141 0.413 0.487 Ga
0.359 0.013 0.087 Ga
0.413 0.487 0.141 Ga
0.487 0.141 0.413 Ga
0.513 0.859 0.587 Ga
0.587 0.513 0.859 Ga
0.641 0.987 0.913 Ga
0.859 0.587 0.513 Ga
0.913 0.641 0.987 Ga
0.987 0.913 0.641 Ga
0.000 0.000 0.000 Pd
0.500 0.500 0.500 Pd
```

The 6 most intense peaks (10° ≤ 2θ ≤ 80°), by angle:
- 2θ = 29.96°, intensity 31
- 2θ = 36.09°, intensity 100
- 2θ = 38.63°, intensity 57
- 2θ = 38.97°, intensity 84
- 2θ = 52.07°, intensity 23
- 2θ = 62.95°, intensity 19

***

Entry 12:
This entry pairs a crystal structure of Hf6GaPd with its theoretical PXRD pattern. Radiation: Cu Kα. Structure: the PBE geometry in Alexandria.
Neutral-atom scattering factors, no anomalous dispersion.

Structure:
```
Hf6GaPd
1.0
3.849 2.222 3.139
-3.849 2.222 3.139
0.000 -4.444 3.139
Hf Ga Pd
6 1 1
direct
0.000 0.499 0.251 Hf
0.000 0.501 0.749 Hf
0.251 0.000 0.499 Hf
0.499 0.251 0.000 Hf
0.501 0.749 0.000 Hf
0.749 0.000 0.501 Hf
0.000 0.000 0.000 Ga
0.500 0.500 0.500 Pd
```

The 6 most intense peaks (10° ≤ 2θ ≤ 80°), by angle:
- 2θ = 32.93°, intensity 20
- 2θ = 36.95°, intensity 100
- 2θ = 40.62°, intensity 44
- 2θ = 58.79°, intensity 14
- 2θ = 61.45°, intensity 23
- 2θ = 64.04°, intensity 23

***

Entry 13:
This entry pairs a crystal structure of Hf3Ga3Pd2Pt with its theoretical PXRD pattern. Radiation: Cu Kα. Structure: the PBE geometry in Alexandria.
Neutral-atom scattering factors, no anomalous dispersion.

Structure:
```
Hf3Ga3Pd2Pt
1.0
7.200 0.000 0.000
-3.600 6.235 0.000
0.000 0.000 6.975
Hf Ga Pd Pt
6 6 4 2
direct
0.022 0.612 0.000 Hf
0.388 0.411 0.000 Hf
0.415 0.387 0.500 Hf
0.589 0.978 0.000 Hf
0.613 0.028 0.500 Hf
0.972 0.585 0.500 Hf
0.004 0.270 0.250 Ga
0.004 0.270 0.750 Ga
0.266 0.996 0.250 Ga
0.266 0.996 0.750 Ga
0.730 0.734 0.250 Ga
0.730 0.734 0.750 Ga
0.000 0.000 0.000 Pd
0.000 0.000 0.500 Pd
0.333 0.667 0.284 Pd
0.333 0.667 0.716 Pd
0.667 0.333 0.216 Pt
0.667 0.333 0.784 Pt
```

The 6 most intense peaks (10° ≤ 2θ ≤ 80°), by angle:
- 2θ = 35.85°, intensity 100
- 2θ = 38.19°, intensity 33
- 2θ = 38.74°, intensity 77
- 2θ = 43.54°, intensity 49
- 2θ = 46.51°, intensity 24
- 2θ = 71.25°, intensity 27